Record 1
Simulated X-ray diffraction stick pattern
Compound: TeRu2Pb
Radiation: Cu Kα
Structure: a cell relaxed with GGA-PBE
Lines closer than 0.1° are merged.

Most intense lines, 2θ from 10° to 80°, by angle:
d 3.452, I = 29, (0 1 1); d 2.716, I = 82, (1 0 1); d 2.484, I = 61, (0 2 0); d 2.383, I = 100, (1 1 1); d 2.161, I = 69, (0 1 2); d 1.833, I = 52, (1 2 1); d 1.414, I = 19, (1 3 1); d 1.382, I = 18, (1 1 3); d 1.373, I = 19, (2 2 0); d 1.310, I = 28, (2 1 2)

Atomic structure:
```
data_TeRu2Pb
_symmetry_space_group_name_H-M 'P 1'
_symmetry_Int_Tables_number 1
_cell_length_a 3.2944
_cell_length_b 4.9677
_cell_length_c 4.7992
_cell_angle_alpha 90.00
_cell_angle_beta 90.00
_cell_angle_gamma 90.00
loop_
_symmetry_equiv_pos_as_xyz
'x,y,z'
loop_
_atom_site_label
_atom_site_type_symbol
_atom_site_fract_x
_atom_site_fract_y
_atom_site_fract_z
_atom_site_occupancy
Te1 Te 0.0000 0.0000 0.0000 1
Ru1 Ru 0.0000 0.5000 0.2129 1
Ru2 Ru 0.5000 0.0000 0.4090 1
Pb1 Pb 0.5000 0.5000 0.6903 1
```

***

Record 2
Simulated X-ray diffraction stick pattern
Compound: Te3As2O11
Radiation: Cu Kα
Structure: a cell relaxed with GGA-PBE
Lines closer than 0.1° are merged.

Most intense lines, 2θ from 10° to 80°, by angle:
d 5.793, I = 28, (1 0 1); d 5.205, I = 100, (0 1 -1); d 5.174, I = 26, (1 0 -1); d 4.218, I = 38, (1 0 2); d 3.920, I = 70, (0 2 1); d 3.586, I = 31, (0 2 2); d 3.480, I = 34, (0 1 3); d 3.430, I = 26, (1 2 0); d 3.323, I = 52, (0 0 3); d 3.260, I = 71, (2 0 0)

Atomic structure:
```
data_Te3As2O11
_symmetry_space_group_name_H-M 'P 1'
_symmetry_Int_Tables_number 1
_cell_length_a 6.6850
_cell_length_b 7.9871
_cell_length_c 10.7050
_cell_angle_alpha 69.80
_cell_angle_beta 79.81
_cell_angle_gamma 79.38
loop_
_symmetry_equiv_pos_as_xyz
'x,y,z'
loop_
_atom_site_label
_atom_site_type_symbol
_atom_site_fract_x
_atom_site_fract_y
_atom_site_fract_z
_atom_site_occupancy
Te1 Te 0.1924 0.2439 0.0221 1
Te2 Te 0.2582 0.1141 0.3381 1
Te3 Te 0.3022 0.5270 0.3028 1
Te4 Te 0.6978 0.4730 0.6972 1
Te5 Te 0.7418 0.8859 0.6619 1
Te6 Te 0.8076 0.7561 0.9779 1
As1 As 0.1839 0.5977 0.6117 1
As2 As 0.3123 0.8846 0.8972 1
As3 As 0.6877 0.1154 0.1028 1
As4 As 0.8161 0.4023 0.3883 1
O1 O 0.0170 0.4399 0.6532 1
O2 O 0.0638 0.8082 0.6128 1
O3 O 0.1402 0.7316 0.9461 1
O4 O 0.1865 0.0924 0.9057 1
O5 O 0.1960 0.0383 0.1809 1
O6 O 0.2454 0.3438 0.1904 1
O7 O 0.3054 0.6380 0.4473 1
O8 O 0.3213 0.2888 0.4287 1
O9 O 0.3624 0.5065 0.7227 1
O10 O 0.4230 0.9235 0.7338 1
O11 O 0.4864 0.7963 0.0140 1
O12 O 0.5136 0.2037 0.9860 1
O13 O 0.5770 0.0765 0.2662 1
O14 O 0.6376 0.4935 0.2773 1
O15 O 0.6787 0.7112 0.5713 1
O16 O 0.6946 0.3620 0.5527 1
O17 O 0.7546 0.6562 0.8096 1
O18 O 0.8040 0.9617 0.8191 1
O19 O 0.8135 0.9076 0.0943 1
O20 O 0.8598 0.2684 0.0539 1
O21 O 0.9362 0.1918 0.3872 1
O22 O 0.9830 0.5601 0.3468 1
```

***

Record 3
Simulated X-ray diffraction stick pattern
Compound: Mo2Os2Ru3
Radiation: Cu Kα
Structure: a cell relaxed with GGA-PBE
Lines closer than 0.1° are merged.

Most intense lines, 2θ from 10° to 80°, by angle:
d 4.585, I = 8, (1 0 0); d 3.632, I = 6, (1 0 -1); d 2.247, I = 34, (1 1 1); d 2.239, I = 100, (1 -2 0); d 1.949, I = 22, (-1 1 2); d 1.937, I = 44, (1 2 -1); d 1.376, I = 14, (0 3 1); d 1.373, I = 7, (2 1 -3); d 1.371, I = 14, (-3 2 1); d 1.368, I = 7, (1 -3 2)

Atomic structure:
```
data_Mo2Os2Ru3
_symmetry_space_group_name_H-M 'P 1'
_symmetry_Int_Tables_number 1
_cell_length_a 4.7448
_cell_length_b 4.7472
_cell_length_c 4.7664
_cell_angle_alpha 99.22
_cell_angle_beta 99.71
_cell_angle_gamma 99.49
loop_
_symmetry_equiv_pos_as_xyz
'x,y,z'
loop_
_atom_site_label
_atom_site_type_symbol
_atom_site_fract_x
_atom_site_fract_y
_atom_site_fract_z
_atom_site_occupancy
Mo1 Mo 0.1579 0.0763 0.2923 1
Mo2 Mo 0.8421 0.9237 0.7077 1
Os1 Os 0.4314 0.2216 0.8670 1
Os2 Os 0.5686 0.7784 0.1330 1
Ru1 Ru 0.0000 0.5000 0.0000 1
Ru2 Ru 0.2836 0.6402 0.5754 1
Ru3 Ru 0.7164 0.3598 0.4246 1
```

***

Record 4
Simulated X-ray diffraction stick pattern
Compound: Y2Be7Au12
Radiation: Cu Kα
Structure: a cell relaxed with GGA-PBE
Lines closer than 0.1° are merged.

Most intense lines, 2θ from 10° to 80°, by angle:
d 3.244, I = 28, (2 1 0); d 3.099, I = 12, (1 1 1); d 2.914, I = 11, (0 2 1); d 2.512, I = 100, (3 -2 1); d 1.986, I = 15, (0 0 2); d 1.969, I = 20, (3 2 0); d 1.873, I = 13, (1 4 0); d 1.398, I = 13, (5 -3 2); d 1.299, I = 13, (2 5 1); d 1.226, I = 14, (3 -2 3)

Atomic structure:
```
data_Y2Be7Au12
_symmetry_space_group_name_H-M 'P 1'
_symmetry_Int_Tables_number 1
_cell_length_a 9.9092
_cell_length_b 9.9092
_cell_length_c 3.9711
_cell_angle_alpha 90.00
_cell_angle_beta 90.00
_cell_angle_gamma 120.00
loop_
_symmetry_equiv_pos_as_xyz
'x,y,z'
loop_
_atom_site_label
_atom_site_type_symbol
_atom_site_fract_x
_atom_site_fract_y
_atom_site_fract_z
_atom_site_occupancy
Y1 Y 0.3333 0.6667 0.2523 1
Y2 Y 0.6667 0.3333 0.7477 1
Be1 Be 0.0000 0.0000 0.0000 1
Be2 Be 0.1127 0.7129 0.7523 1
Be3 Be 0.2871 0.3999 0.7523 1
Be4 Be 0.3999 0.1127 0.2477 1
Be5 Be 0.6001 0.8873 0.7523 1
Be6 Be 0.7129 0.6001 0.2477 1
Be7 Be 0.8873 0.2871 0.2477 1
Au1 Au 0.0794 0.4584 0.7495 1
Au2 Au 0.1193 0.2595 0.2520 1
Au3 Au 0.1402 0.8807 0.2520 1
Au4 Au 0.2595 0.1402 0.7480 1
Au5 Au 0.3790 0.9206 0.7495 1
Au6 Au 0.4584 0.3790 0.2505 1
Au7 Au 0.5416 0.6210 0.7495 1
Au8 Au 0.6210 0.0794 0.2505 1
Au9 Au 0.7405 0.8598 0.2520 1
Au10 Au 0.8598 0.1193 0.7480 1
Au11 Au 0.8807 0.7405 0.7480 1
Au12 Au 0.9206 0.5416 0.2505 1
```

***

Record 5
Simulated X-ray diffraction stick pattern
Compound: BeV2Co
Radiation: Cu Kα
Structure: a cell relaxed with GGA-PBE
Lines closer than 0.1° are merged.

Most intense lines, 2θ from 10° to 80°, by angle:
d 5.073, I = 32, (0 0 1); d 2.995, I = 7, (1 0 0); d 2.579, I = 32, (1 0 1); d 2.117, I = 68, (1 1 0); d 1.954, I = 10, (1 1 1); d 1.935, I = 100, (1 0 2); d 1.497, I = 20, (2 0 0); d 1.321, I = 4, (1 1 3); d 1.295, I = 6, (2 1 1); d 1.268, I = 5, (0 0 4)

Atomic structure:
```
data_BeV2Co
_symmetry_space_group_name_H-M 'P 1'
_symmetry_Int_Tables_number 1
_cell_length_a 2.9945
_cell_length_b 2.9945
_cell_length_c 5.0727
_cell_angle_alpha 90.00
_cell_angle_beta 90.00
_cell_angle_gamma 90.00
loop_
_symmetry_equiv_pos_as_xyz
'x,y,z'
loop_
_atom_site_label
_atom_site_type_symbol
_atom_site_fract_x
_atom_site_fract_y
_atom_site_fract_z
_atom_site_occupancy
Be1 Be 0.0000 0.0000 0.0000 1
V1 V 0.5000 0.5000 0.2433 1
V2 V 0.5000 0.5000 0.7567 1
Co1 Co 0.0000 0.0000 0.5000 1
```

***

Record 6
Simulated X-ray diffraction stick pattern
Compound: Na8B13C3
Radiation: Cu Kα
Structure: a cell relaxed with GGA-PBE
Lines closer than 0.1° are merged.

Most intense lines, 2θ from 10° to 80°, by angle:
d 2.659, I = 14, (0 0 2); d 2.481, I = 16, (1 0 1); d 2.267, I = 50, (0 4 2); d 2.169, I = 38, (0 8 0); d 2.154, I = 100, (1 4 1); d 1.633, I = 9, (1 8 1); d 1.498, I = 18, (1 0 3); d 1.271, I = 14, (0 4 4); d 1.249, I = 13, (1 12 1); d 1.233, I = 18, (1 8 3)

Atomic structure:
```
data_Na8B13C3
_symmetry_space_group_name_H-M 'P 1'
_symmetry_Int_Tables_number 1
_cell_length_a 2.8046
_cell_length_b 17.3530
_cell_length_c 5.3176
_cell_angle_alpha 90.00
_cell_angle_beta 90.00
_cell_angle_gamma 90.00
loop_
_symmetry_equiv_pos_as_xyz
'x,y,z'
loop_
_atom_site_label
_atom_site_type_symbol
_atom_site_fract_x
_atom_site_fract_y
_atom_site_fract_z
_atom_site_occupancy
Na1 Na 0.0000 0.1240 0.0000 1
Na2 Na 0.0000 0.3754 0.9994 1
Na3 Na 0.0000 0.6246 0.9994 1
Na4 Na 0.0000 0.8760 0.0000 1
Na5 Na 0.5000 0.1254 0.4960 1
Na6 Na 0.5000 0.3746 0.4975 1
Na7 Na 0.5000 0.6254 0.4975 1
Na8 Na 0.5000 0.8746 0.4960 1
B1 B 0.0000 0.0000 0.6329 1
B2 B 0.0000 0.2494 0.3162 1
B3 B 0.0000 0.2495 0.6484 1
B4 B 0.0000 0.5000 0.3423 1
B5 B 0.0000 0.5000 0.6544 1
B6 B 0.0000 0.7505 0.6484 1
B7 B 0.0000 0.7506 0.3162 1
B8 B 0.5000 0.0000 0.1793 1
B9 B 0.5000 0.0000 0.8484 1
B10 B 0.5000 0.2494 0.8635 1
B11 B 0.5000 0.5000 0.1536 1
B12 B 0.5000 0.5000 0.8431 1
B13 B 0.5000 0.7506 0.8635 1
C1 C 0.0000 0.0000 0.3366 1
C2 C 0.5000 0.2492 0.1597 1
C3 C 0.5000 0.7508 0.1597 1
```